1.
This entry pairs a crystal structure of LaDy2Th6 with its computed XRD peak list. Radiation: Cu Kα, 1.54184 Å. Structure: the PBE geometry in Alexandria.
Neutral-atom scattering factors, no anomalous dispersion.

Peak list (10 most intense, 2θ from 10° to 90°, by intensity)
| 2theta | I/Imax |
| --- | --- |
| 33.54 | 100.0 |
| 32.01 | 87.5 |
| 29.62 | 64.6 |
| 29.10 | 55.9 |
| 60.61 | 52.9 |
| 51.58 | 44.2 |
| 42.00 | 40.6 |
| 56.10 | 28.5 |
| 84.33 | 19.3 |
| 35.34 | 17.8 |

Crystal structure
```
LaDy2Th6
1.0
3.5436 0.0000 0.0000
-1.7718 3.0689 0.0000
0.0000 0.0000 27.1479
La Dy Th
1 2 6
Direct
0.0000 0.0000 0.0000
0.6667 0.3333 0.3310
0.6667 0.3333 0.6690
0.0000 0.0000 0.2222
0.0000 0.0000 0.4388
0.0000 0.0000 0.5612
0.0000 0.0000 0.7778
0.6667 0.3333 0.1143
0.6667 0.3333 0.8857
```


2.
This entry pairs a crystal structure of La4Dy4Th with its computed XRD peak list. Radiation: Cu Kα, 1.54184 Å. Structure: the PBE geometry in Alexandria.
Neutral-atom scattering factors, no anomalous dispersion.

Peak list (10 most intense, 2θ from 10° to 90°, by intensity)
| 2theta | I/Imax |
| --- | --- |
| 30.10 | 100.0 |
| 34.89 | 50.6 |
| 59.63 | 42.7 |
| 50.18 | 36.1 |
| 81.61 | 17.2 |
| 84.20 | 16.0 |
| 62.57 | 12.3 |
| 73.69 | 5.7 |
| 11.47 | 4.6 |
| 38.25 | 2.1 |

Crystal structure
```
La4Dy4Th
1.0
-5.4555 5.4555 2.5702
5.4555 -5.4555 2.5702
5.4555 5.4555 -2.5702
La Dy Th
4 4 1
Direct
0.0000 0.3278 0.3278
0.0000 0.6722 0.6722
0.3278 0.0000 0.3278
0.6722 0.0000 0.6722
0.3387 0.3387 0.6774
0.3387 0.6613 0.0000
0.6613 0.3387 0.0000
0.6613 0.6613 0.3226
0.0000 0.0000 0.0000
```


3.
This entry pairs a crystal structure of La6Dy3Th with its computed XRD peak list. Radiation: Cu Kα, 1.54184 Å. Structure: the PBE geometry in Alexandria.
Neutral-atom scattering factors, no anomalous dispersion.

Peak list (10 most intense, 2θ from 10° to 90°, by intensity)
| 2theta | I/Imax |
| --- | --- |
| 29.91 | 100.0 |
| 30.26 | 71.0 |
| 59.30 | 57.0 |
| 49.90 | 41.2 |
| 29.25 | 32.8 |
| 34.03 | 31.7 |
| 34.67 | 31.7 |
| 59.08 | 27.8 |
| 32.98 | 22.7 |
| 35.86 | 20.3 |

Crystal structure
```
La6Dy3Th
1.0
6.3195 0.0000 0.0000
0.0000 3.6716 0.0000
-2.0499 0.0000 29.8483
La Dy Th
12 6 2
Direct
0.0994 0.0000 0.2992
0.1285 0.5000 0.9020
0.2023 0.0000 0.5986
0.2649 0.0000 0.7981
0.3096 0.5000 0.4028
0.3624 0.0000 0.0988
0.6376 0.0000 0.9012
0.6904 0.5000 0.5972
0.7351 0.0000 0.2019
0.7977 0.0000 0.4014
0.8715 0.5000 0.0980
0.9006 0.0000 0.7008
0.0000 0.5000 0.5000
0.2365 0.5000 0.2013
0.4016 0.5000 0.7001
0.5000 0.5000 0.0000
0.5984 0.5000 0.2999
0.7635 0.5000 0.7987
0.0000 0.0000 0.0000
0.5000 0.0000 0.5000
```


4.
This entry pairs a crystal structure of LaDy6Th4 with its computed XRD peak list. Radiation: Cu Kα, 1.54184 Å. Structure: the PBE geometry in Alexandria.
Neutral-atom scattering factors, no anomalous dispersion.

Peak list (10 most intense, 2θ from 10° to 90°, by intensity)
| 2theta | I/Imax |
| --- | --- |
| 31.39 | 100.0 |
| 30.39 | 67.2 |
| 36.26 | 46.8 |
| 33.67 | 34.9 |
| 26.93 | 27.9 |
| 63.05 | 26.5 |
| 54.61 | 20.4 |
| 28.75 | 18.7 |
| 41.03 | 18.6 |
| 31.70 | 15.1 |

Crystal structure
```
LaDy6Th4
1.0
-1.7230 2.9429 17.9121
1.7230 -2.9429 17.9121
1.7230 2.9429 -17.9121
La Dy Th
1 6 4
Direct
0.0000 0.0000 0.0000
0.0975 0.5975 0.5000
0.2672 0.7672 0.5000
0.3682 0.8682 0.5000
0.6318 0.1318 0.5000
0.7328 0.2328 0.5000
0.9025 0.4025 0.5000
0.1827 0.1827 0.0000
0.4551 0.4551 0.0000
0.5449 0.5449 0.0000
0.8173 0.8173 0.0000
```


5.
This entry pairs a crystal structure of LaDy5Th with its computed XRD peak list. Radiation: Cu Kα, 1.54184 Å. Structure: the PBE geometry in Alexandria.
Neutral-atom scattering factors, no anomalous dispersion.

Peak list (10 most intense, 2θ from 10° to 90°, by intensity)
| 2theta | I/Imax |
| --- | --- |
| 31.21 | 100.0 |
| 31.46 | 79.4 |
| 33.11 | 52.9 |
| 32.06 | 51.0 |
| 34.33 | 43.3 |
| 33.52 | 39.5 |
| 30.94 | 38.3 |
| 52.07 | 20.8 |
| 59.51 | 15.0 |
| 25.38 | 14.3 |

Crystal structure
```
LaDy5Th
1.0
6.2786 0.0000 0.0000
0.4364 8.7708 0.0000
2.2463 1.6424 8.3632
La Dy Th
2 10 2
Direct
0.1081 0.2922 0.1968
0.8919 0.7078 0.8032
0.1345 0.0774 0.6006
0.2574 0.3577 0.7960
0.3029 0.6644 0.0335
0.4303 0.9752 0.2127
0.4437 0.7087 0.5860
0.5563 0.2913 0.4140
0.5697 0.0248 0.7873
0.6971 0.3356 0.9665
0.7426 0.6423 0.2040
0.8655 0.9226 0.3994
0.0000 0.0000 0.0000
0.0000 0.5000 0.5000
```


6.
This entry pairs a crystal structure of LaDy6Th2 with its computed XRD peak list. Radiation: Cu Kα, 1.54184 Å. Structure: the PBE geometry in Alexandria.
Neutral-atom scattering factors, no anomalous dispersion.

Peak list (10 most intense, 2θ from 10° to 90°, by intensity)
| 2theta | I/Imax |
| --- | --- |
| 33.51 | 100.0 |
| 31.91 | 83.6 |
| 30.24 | 60.8 |
| 28.86 | 53.8 |
| 60.57 | 51.7 |
| 51.14 | 44.7 |
| 42.29 | 37.0 |
| 56.88 | 27.8 |
| 35.38 | 24.8 |
| 30.61 | 21.1 |

Crystal structure
```
LaDy6Th2
1.0
3.5723 0.0000 0.0000
-1.7862 3.0937 0.0000
0.0000 0.0000 26.5960
La Dy Th
1 6 2
Direct
0.0000 0.0000 0.0000
0.0000 0.0000 0.2207
0.0000 0.0000 0.4376
0.0000 0.0000 0.5624
0.0000 0.0000 0.7793
0.3333 0.6667 0.1146
0.3333 0.6667 0.8854
0.3333 0.6667 0.3317
0.3333 0.6667 0.6683
```


7.
This entry pairs a crystal structure of La4Dy5Th2 with its computed XRD peak list. Radiation: Cu Kα, 1.54184 Å. Structure: the PBE geometry in Alexandria.
Neutral-atom scattering factors, no anomalous dispersion.

Peak list (10 most intense, 2θ from 10° to 90°, by intensity)
| 2theta | I/Imax |
| --- | --- |
| 30.26 | 100.0 |
| 34.98 | 68.0 |
| 30.04 | 51.8 |
| 30.38 | 49.2 |
| 50.24 | 36.1 |
| 35.20 | 33.9 |
| 50.70 | 23.7 |
| 59.78 | 21.6 |
| 60.05 | 21.3 |
| 59.93 | 14.3 |

Crystal structure
```
La4Dy5Th2
1.0
3.6228 0.0000 0.0000
1.7958 9.4025 0.0000
0.0032 0.8468 10.8338
La Dy Th
4 5 2
Direct
0.0879 0.3238 0.4551
0.3601 0.7792 0.8256
0.6399 0.2208 0.1744
0.9121 0.6762 0.5449
0.0000 0.5000 0.0000
0.2744 0.9517 0.3603
0.4497 0.5981 0.2646
0.5503 0.4019 0.7354
0.7256 0.0483 0.6397
0.1835 0.1323 0.9069
0.8165 0.8677 0.0931
```


8.
This entry pairs a crystal structure of La2Dy2Th with its computed XRD peak list. Radiation: Cu Kα, 1.54184 Å. Structure: the PBE geometry in Alexandria.
Neutral-atom scattering factors, no anomalous dispersion.

Peak list (10 most intense, 2θ from 10° to 90°, by intensity)
| 2theta | I/Imax |
| --- | --- |
| 30.23 | 100.0 |
| 30.66 | 98.2 |
| 34.23 | 36.6 |
| 32.02 | 34.5 |
| 39.31 | 30.8 |
| 60.48 | 28.3 |
| 53.09 | 26.0 |
| 62.89 | 24.8 |
| 47.57 | 23.3 |
| 51.03 | 23.2 |

Crystal structure
```
La2Dy2Th
1.0
2.6198 -8.9511 0.0000
2.6198 8.9511 0.0000
0.0000 0.0000 3.5789
La Dy Th
2 2 1
Direct
0.1946 0.8054 0.0000
0.8054 0.1946 0.0000
0.4033 0.5967 0.5000
0.5967 0.4033 0.5000
0.0000 0.0000 0.0000
```


9.
This entry pairs a crystal structure of La8Dy4Th with its computed XRD peak list. Radiation: Cu Kα, 1.54184 Å. Structure: the PBE geometry in Alexandria.
Neutral-atom scattering factors, no anomalous dispersion.

Peak list (10 most intense, 2θ from 10° to 90°, by intensity)
| 2theta | I/Imax |
| --- | --- |
| 30.91 | 100.0 |
| 30.60 | 92.5 |
| 30.68 | 77.9 |
| 32.47 | 53.3 |
| 32.34 | 47.6 |
| 34.08 | 43.5 |
| 29.66 | 34.3 |
| 29.75 | 28.5 |
| 50.75 | 24.1 |
| 55.40 | 22.6 |

Crystal structure
```
La8Dy4Th
1.0
6.8998 0.0000 0.0000
3.1564 6.1452 0.0000
1.3390 0.8646 10.9633
La Dy Th
8 4 1
Direct
0.0000 0.0000 0.0000
0.0070 0.5394 0.8692
0.1587 0.1675 0.4110
0.2271 0.6814 0.3058
0.4998 0.5147 0.9798
0.5365 0.0186 0.8710
0.6796 0.2289 0.3026
0.7950 0.8020 0.5452
0.2381 0.2398 0.1340
0.2848 0.8137 0.6864
0.7213 0.7244 0.1894
0.8031 0.2937 0.6841
0.3151 0.3259 0.6126
```


10.
This entry pairs a crystal structure of LaDy6Th8 with its computed XRD peak list. Radiation: Cu Kα, 1.54184 Å. Structure: the PBE geometry in Alexandria.
Neutral-atom scattering factors, no anomalous dispersion.

Peak list (10 most intense, 2θ from 10° to 90°, by intensity)
| 2theta | I/Imax |
| --- | --- |
| 31.20 | 100.0 |
| 32.07 | 80.3 |
| 31.33 | 31.7 |
| 56.58 | 25.1 |
| 54.95 | 21.1 |
| 37.42 | 15.9 |
| 52.32 | 10.7 |
| 64.82 | 9.1 |
| 65.02 | 7.7 |
| 45.93 | 7.4 |

Crystal structure
```
LaDy6Th8
1.0
4.4213 2.5526 7.1800
-4.4213 2.5526 7.1800
0.0000 -5.1053 7.1800
La Dy Th
1 6 8
Direct
0.0000 0.0000 0.0000
0.0676 0.5300 0.2747
0.2747 0.0676 0.5300
0.4700 0.7253 0.9324
0.5300 0.2747 0.0676
0.7253 0.9324 0.4700
0.9324 0.4700 0.7253
0.1223 0.6633 0.8079
0.1921 0.8777 0.3367
0.3367 0.1921 0.8777
0.4225 0.4225 0.4225
0.5775 0.5775 0.5775
0.6633 0.8079 0.1223
0.8079 0.1223 0.6633
0.8777 0.3367 0.1921
```


11.
This entry pairs a crystal structure of LaDy3Th4 with its computed XRD peak list. Radiation: Cu Kα, 1.54184 Å. Structure: the PBE geometry in Alexandria.
Neutral-atom scattering factors, no anomalous dispersion.

Peak list (10 most intense, 2θ from 10° to 90°, by intensity)
| 2theta | I/Imax |
| --- | --- |
| 30.15 | 100.0 |
| 33.51 | 80.1 |
| 29.75 | 73.9 |
| 32.60 | 54.5 |
| 40.33 | 51.7 |
| 37.24 | 49.2 |
| 35.48 | 43.1 |
| 28.96 | 43.0 |
| 30.48 | 42.7 |
| 32.90 | 40.0 |

Crystal structure
```
LaDy3Th4
1.0
9.5591 -1.7406 0.0000
9.5591 1.7406 0.0000
-3.1202 0.0000 8.2391
La Dy Th
1 3 4
Direct
0.0000 0.0000 0.0000
0.3007 0.3007 0.8482
0.5000 0.5000 0.5000
0.6993 0.6993 0.1518
0.1196 0.1196 0.8048
0.1635 0.1635 0.4676
0.8365 0.8365 0.5324
0.8804 0.8804 0.1952
```


12.
This entry pairs a crystal structure of LaDy10Th4 with its computed XRD peak list. Radiation: Cu Kα, 1.54184 Å. Structure: the PBE geometry in Alexandria.
Neutral-atom scattering factors, no anomalous dispersion.

Peak list (10 most intense, 2θ from 10° to 90°, by intensity)
| 2theta | I/Imax |
| --- | --- |
| 31.92 | 100.0 |
| 29.47 | 60.2 |
| 33.68 | 39.5 |
| 29.08 | 28.8 |
| 25.77 | 26.5 |
| 22.23 | 22.2 |
| 58.37 | 19.1 |
| 30.90 | 18.8 |
| 45.35 | 17.2 |
| 41.82 | 15.7 |

Crystal structure
```
LaDy10Th4
1.0
-4.7923 4.7923 5.5593
4.7923 -4.7923 5.5593
4.7923 4.7923 -5.5593
La Dy Th
1 10 4
Direct
0.0000 0.0000 0.0000
0.0441 0.3896 0.0986
0.0545 0.9559 0.3455
0.2500 0.7500 0.5000
0.2910 0.9455 0.9014
0.3896 0.2910 0.3455
0.6104 0.7090 0.6545
0.7090 0.0545 0.0986
0.7500 0.2500 0.5000
0.9455 0.0441 0.6545
0.9559 0.6104 0.9014
0.1999 0.4514 0.6513
0.4514 0.8001 0.2515
0.5486 0.1999 0.7485
0.8001 0.5486 0.3487
```


13.
This entry pairs a crystal structure of La4Dy2Th3 with its computed XRD peak list. Radiation: Cu Kα, 1.54184 Å. Structure: the PBE geometry in Alexandria.
Neutral-atom scattering factors, no anomalous dispersion.

Peak list (10 most intense, 2θ from 10° to 90°, by intensity)
| 2theta | I/Imax |
| --- | --- |
| 29.86 | 100.0 |
| 34.44 | 82.2 |
| 30.83 | 49.5 |
| 28.81 | 40.8 |
| 37.59 | 26.9 |
| 14.80 | 25.3 |
| 60.63 | 24.3 |
| 35.92 | 22.9 |
| 56.00 | 20.6 |
| 42.30 | 18.6 |

Crystal structure
```
La4Dy2Th3
1.0
-1.7759 5.9840 7.4756
1.7759 -5.9840 7.4756
1.7759 5.9840 -7.4756
La Dy Th
4 2 3
Direct
0.1185 0.8704 0.2481
0.3776 0.1296 0.2481
0.6224 0.8704 0.7519
0.8815 0.1296 0.7519
0.3007 0.3007 0.0000
0.6993 0.6993 0.0000
0.1037 0.6037 0.5000
0.5000 0.0000 0.5000
0.8963 0.3963 0.5000
```